Entry 1:
For GdAsO4, a GGA-PBE-relaxed structure gives the computed XRD peak list in this record (Cu Kα (weighted mean of Kα1 and Kα2)).
Lines closer than 0.1° are merged.

Main lines, most intense first (5° ≤ 2θ ≤ 70°):
- 24.6°, I = 100
- 32.9°, I = 73
- 48.8°, I = 60
- 35.1°, I = 24
- 61.5°, I = 18
- 18.5°, I = 16
- 50.4°, I = 15
- 56.9°, I = 14

Structural model:
abc: 6.0442 6.0442 6.0442
angles: 106.43 106.43 115.73
Sites, in units of the cell vectors:
1 Gd 0.3750 0.6250 0.7500
2 Gd 0.6250 0.3750 0.2500
3 As 0.1250 0.8750 0.2500
4 As 0.8750 0.1250 0.7500
5 O 0.1312 0.7007 0.4304
6 O 0.2297 0.2993 0.9304
7 O 0.2993 0.2297 0.4304
8 O 0.2993 0.8688 0.0696
9 O 0.7007 0.1312 0.9304
10 O 0.7007 0.7703 0.5696
11 O 0.7703 0.7007 0.0696
12 O 0.8688 0.2993 0.5696

Entry 2:
For MgZn7O8, a GGA-PBE-relaxed structure gives the computed XRD peak list in this record (Cu Kα (weighted mean of Kα1 and Kα2)).
Lines closer than 0.1° are merged.

Main lines, most intense first (5° ≤ 2θ ≤ 70°):
- 35.8°, I = 100
- 31.4°, I = 55
- 33.9°, I = 40
- 55.8°, I = 37
- 61.9°, I = 35
- 66.9°, I = 30
- 46.9°, I = 24
- 68.1°, I = 15

Structural model:
abc: 6.5871 6.5871 5.2870
angles: 90.00 90.00 120.00
Sites, in units of the cell vectors:
1 Mg 0.0000 0.0000 0.0000
2 Zn 0.0019 0.5009 0.0019
3 Zn 0.1663 0.3327 0.5028
4 Zn 0.1663 0.8337 0.5028
5 Zn 0.4991 0.5009 0.0019
6 Zn 0.4991 0.9981 0.0019
7 Zn 0.6667 0.3333 0.5038
8 Zn 0.6673 0.8337 0.5028
9 O 0.0000 0.0000 0.3777
10 O 0.9999 0.5000 0.3832
11 O 0.1657 0.3314 0.8830
12 O 0.1657 0.8343 0.8830
13 O 0.5000 0.0001 0.3832
14 O 0.5000 0.5000 0.3832
15 O 0.6667 0.3333 0.8844
16 O 0.6686 0.8343 0.8830